[1]
Calculated powder X-ray diffraction pattern of CeGa2Ge2Pt7 for Cu Kα, from a cell relaxed with PBE.
Lines closer than 0.1° are merged.

Crystal structure
```
data_CeGa2Ge2Pt7
_chemical_formula_sum 'Ce2 Ga4 Ge4 Pt14'
_cell_length_a 5.5441
_cell_length_b 5.5962
_cell_length_c 15.0032
_cell_angle_alpha 90.00
_cell_angle_beta 96.55
_cell_angle_gamma 90.00
_space_group_name_H-M_alt 'C 1 2/m 1'
_space_group_IT_number 12
loop_
_space_group_symop_operation_xyz
'x,y,z'
'-x,-y,-z'
'-x,y,-z'
'x,-y,z'
'x+1/2,y+1/2,z'
'-x+1/2,-y+1/2,-z'
'-x+1/2,y+1/2,-z'
'x+1/2,-y+1/2,z'
loop_
_atom_site_label
_atom_site_type_symbol
_atom_site_fract_x
_atom_site_fract_y
_atom_site_fract_z
Ce1 Ce 0.0000 0.0000 0.0000
Ga1 Ga 0.1272 0.0000 0.4228
Ge1 Ge 0.0837 0.5000 0.2565
Pt1 Pt 0.0000 0.5000 0.0000
Pt2 Pt 0.1155 0.5000 0.4187
Pt3 Pt 0.2002 0.2503 0.8492
```

The 6 most intense peaks (10 to 80 degrees two-theta), low angle first:
- (0 2 2), 2.620 Å, 34.23°, intensity 37
- (2 0 -3), 2.534 Å, 35.42°, intensity 48
- (2 0 2), 2.492 Å, 36.03°, intensity 59
- (0 2 3), 2.438 Å, 36.87°, intensity 67
- (0 0 7), 2.129 Å, 42.45°, intensity 51
- (2 2 -1), 1.965 Å, 46.19°, intensity 100



[2]
Calculated powder X-ray diffraction pattern of Nd4Dy2ErTm2 for Cu Kα, from a cell relaxed with PBE.
Lines closer than 0.1° are merged.

Crystal structure
```
data_Nd4Dy2ErTm2
_chemical_formula_sum 'Nd8 Dy4 Er2 Tm4'
_cell_length_a 15.2544
_cell_length_b 5.0743
_cell_length_c 8.0119
_cell_angle_alpha 90.00
_cell_angle_beta 108.47
_cell_angle_gamma 90.00
_space_group_name_H-M_alt 'C 1 2/m 1'
_space_group_IT_number 12
loop_
_space_group_symop_operation_xyz
'x,y,z'
'-x,-y,-z'
'-x,y,-z'
'x,-y,z'
'x+1/2,y+1/2,z'
'-x+1/2,-y+1/2,-z'
'-x+1/2,y+1/2,-z'
'x+1/2,-y+1/2,z'
loop_
_atom_site_label
_atom_site_type_symbol
_atom_site_fract_x
_atom_site_fract_y
_atom_site_fract_z
Nd1 Nd 0.0540 0.0000 0.3302
Nd2 Nd 0.2227 0.5000 0.3310
Dy1 Dy 0.1115 0.5000 0.6703
Er1 Er 0.0000 0.5000 0.0000
Tm1 Tm 0.1672 0.0000 0.9997
```

The 6 most intense peaks (10 to 80 degrees two-theta), low angle first:
- (3 1 1), 2.930 Å, 30.51°, intensity 100
- (0 2 0), 2.540 Å, 35.34°, intensity 34
- (0 0 3), 2.533 Å, 35.44°, intensity 17
- (0 2 3), 1.794 Å, 50.89°, intensity 36
- (9 1 0), 1.532 Å, 60.41°, intensity 14
- (3 3 1), 1.529 Å, 60.55°, intensity 29



[3]
Calculated powder X-ray diffraction pattern of Cs3Cl7 for Cu Kα, from a cell relaxed with PBE.
Lines closer than 0.1° are merged.

Crystal structure
```
data_Cs3Cl7
_chemical_formula_sum 'Cs6 Cl14'
_cell_length_a 7.7499
_cell_length_b 7.7499
_cell_length_c 14.0048
_cell_angle_alpha 90.00
_cell_angle_beta 90.00
_cell_angle_gamma 90.00
_space_group_name_H-M_alt 'I 4/m m m'
_space_group_IT_number 139
_space_group_name_Hall '-I 4 2'
loop_
_atom_site_label
_atom_site_type_symbol
_atom_site_fract_x
_atom_site_fract_y
_atom_site_fract_z
Cs1 Cs 0.0000 0.0000 0.0000
Cs2 Cs 0.0000 0.5000 0.2500
Cl1 Cl 0.0000 0.0000 0.2352
Cl2 Cl 0.0000 0.0000 0.5000
Cl3 Cl 0.2083 0.2083 0.5000
```

The 6 most intense peaks (10 to 80 degrees two-theta), low angle first:
- (1 1 2), 4.316 Å, 20.58°, intensity 100
- (2 0 0), 3.875 Å, 22.95°, intensity 40
- (0 0 4), 3.501 Å, 25.44°, intensity 48
- (2 0 2), 3.390 Å, 26.29°, intensity 36
- (2 2 0), 2.740 Å, 32.68°, intensity 43
- (2 2 4), 2.158 Å, 41.87°, intensity 41



[4]
Calculated powder X-ray diffraction pattern of AcLaAg2Ge2 for Cu Kα, from a cell relaxed with PBE.
Lines closer than 0.1° are merged.

Crystal structure
```
data_AcLaAg2Ge2
_chemical_formula_sum 'Ac1 La1 Ag2 Ge2'
_cell_length_a 4.6110
_cell_length_b 4.6110
_cell_length_c 8.2646
_cell_angle_alpha 90.00
_cell_angle_beta 90.00
_cell_angle_gamma 120.00
_space_group_name_H-M_alt 'P -3 m 1'
_space_group_IT_number 164
_space_group_name_Hall '-P 3 2"'
loop_
_atom_site_label
_atom_site_type_symbol
_atom_site_fract_x
_atom_site_fract_y
_atom_site_fract_z
Ac1 Ac 0.0000 0.0000 0.0000
La1 La 0.0000 0.0000 0.5000
Ag1 Ag 0.3333 0.6667 0.7380
Ge1 Ge 0.3333 0.6667 0.2622
```

The 6 most intense peaks (10 to 80 degrees two-theta), low angle first:
- (0 1 2), 2.872 Å, 31.15°, intensity 100
- (1 1 0), 2.305 Å, 39.07°, intensity 49
- (0 0 4), 2.066 Å, 43.82°, intensity 11
- (2 0 2), 1.798 Å, 50.79°, intensity 25
- (1 1 4), 1.539 Å, 60.14°, intensity 26
- (1 2 2), 1.418 Å, 65.88°, intensity 23



[5]
Calculated powder X-ray diffraction pattern of Ac3Zn3Ga2 for Cu Kα, from a cell relaxed with PBE.
Lines closer than 0.1° are merged.

Crystal structure
```
data_Ac3Zn3Ga2
_chemical_formula_sum 'Ac12 Zn12 Ga8'
_cell_length_a 4.7275
_cell_length_b 11.3299
_cell_length_c 15.7275
_cell_angle_alpha 90.00
_cell_angle_beta 90.00
_cell_angle_gamma 90.00
_space_group_name_H-M_alt 'C m c m'
_space_group_IT_number 63
_space_group_name_Hall '-C 2c 2'
loop_
_atom_site_label
_atom_site_type_symbol
_atom_site_fract_x
_atom_site_fract_y
_atom_site_fract_z
Ac1 Ac 0.0000 0.1031 0.1036
Ac2 Ac 0.0000 0.3912 0.2500
Zn1 Zn 0.0000 0.3159 0.7500
Zn2 Zn 0.0000 0.3849 0.0365
Ga1 Ga 0.0000 0.1964 0.6006
```

The 6 most intense peaks (10 to 80 degrees two-theta), low angle first:
- (0 2 3), 3.848 Å, 23.12°, intensity 38
- (1 1 4), 2.921 Å, 30.61°, intensity 100
- (1 3 1), 2.900 Å, 30.83°, intensity 78
- (0 4 0), 2.832 Å, 31.59°, intensity 30
- (2 0 0), 2.362 Å, 38.10°, intensity 72
- (2 4 0), 1.814 Å, 50.30°, intensity 33



[6]
Calculated powder X-ray diffraction pattern of SmTm7 for Cu Kα, from a cell relaxed with PBE.
Lines closer than 0.1° are merged.

Crystal structure
```
data_SmTm7
_chemical_formula_sum 'Sm2 Tm14'
_cell_length_a 3.4819
_cell_length_b 10.9645
_cell_length_c 12.8570
_cell_angle_alpha 90.00
_cell_angle_beta 90.00
_cell_angle_gamma 90.00
_space_group_name_H-M_alt 'I m m m'
_space_group_IT_number 71
_space_group_name_Hall '-I 2 2'
loop_
_atom_site_label
_atom_site_type_symbol
_atom_site_fract_x
_atom_site_fract_y
_atom_site_fract_z
Sm1 Sm 0.0000 0.0000 0.0000
Tm1 Tm 0.0000 0.2285 0.3663
Tm2 Tm 0.0000 0.5000 0.0000
Tm3 Tm 0.0000 0.5000 0.2577
```

The 6 most intense peaks (10 to 80 degrees two-theta), low angle first:
- (1 2 1), 2.865 Å, 31.22°, intensity 68
- (0 2 4), 2.773 Å, 32.28°, intensity 100
- (0 4 0), 2.741 Å, 32.67°, intensity 43
- (1 0 3), 2.702 Å, 33.15°, intensity 45
- (0 0 8), 1.607 Å, 57.35°, intensity 31
- (2 2 4), 1.474 Å, 63.05°, intensity 30